Na4HgSb: computed powder XRD pattern (a wavelength of 1.5418 Å), based on a crystal structure in Alexandria, relaxed with GGA-PBE.

Crystal structure
a b c (Å): 9.823 9.823 5.130
angles (deg): 90.00 90.00 139.31
Positions (direct):
Na 0.043 0.456 0.250
Na 0.199 0.289 0.250
Na 0.289 0.199 0.750
Na 0.456 0.043 0.750
Na 0.544 0.957 0.250
Na 0.711 0.801 0.250
Na 0.801 0.711 0.750
Na 0.957 0.544 0.750
Hg 0.395 0.605 0.750
Hg 0.605 0.395 0.250
Sb 0.138 0.862 0.250
Sb 0.862 0.138 0.750

Main lines, in order of rising 2θ (10 to 90 degrees two-theta):
2θ (°), I (rel.)
19.27, 42
19.81, 89
26.12, 20
32.64, 48
32.97, 100
34.03, 43
34.98, 28
48.59, 28

=====

CeMg3Pd4: computed powder XRD pattern (a wavelength of 1.5418 Å), based on a crystal structure in Alexandria, relaxed with GGA-PBE.

Crystal structure
a b c (Å): 6.619 6.619 6.619
angles (deg): 90.00 90.00 90.00
Positions (direct):
Ce 0.000 0.000 0.000
Ce 0.500 0.500 0.500
Mg 0.000 0.000 0.500
Mg 0.000 0.500 0.000
Mg 0.000 0.500 0.500
Mg 0.500 0.000 0.000
Mg 0.500 0.000 0.500
Mg 0.500 0.500 0.000
Pd 0.250 0.250 0.250
Pd 0.250 0.250 0.750
Pd 0.250 0.750 0.250
Pd 0.250 0.750 0.750
Pd 0.750 0.250 0.250
Pd 0.750 0.250 0.750
Pd 0.750 0.750 0.250
Pd 0.750 0.750 0.750

Main lines, in order of rising 2θ (10 to 90 degrees two-theta):
2θ (°), I (rel.)
18.96, 18
26.94, 15
33.16, 9
38.47, 100
51.68, 5
55.54, 17
69.59, 34
82.43, 11

=====

Tb6Pm3Er: computed powder XRD pattern (a wavelength of 1.5418 Å), based on a crystal structure in Alexandria, relaxed with GGA-PBE.

Crystal structure
a b c (Å): 10.942 10.942 6.362
angles (deg): 90.00 90.00 120.06
Positions (direct):
Tb 0.039 0.961 0.500
Tb 0.052 0.471 0.007
Tb 0.274 0.726 0.725
Tb 0.287 0.377 0.824
Tb 0.377 0.287 0.324
Tb 0.471 0.052 0.507
Tb 0.529 0.948 0.007
Tb 0.623 0.713 0.824
Tb 0.713 0.623 0.324
Tb 0.726 0.274 0.225
Tb 0.948 0.529 0.507
Tb 0.961 0.039 0.000
Pm 0.061 0.288 0.412
Pm 0.288 0.061 0.912
Pm 0.388 0.612 0.301
Pm 0.612 0.388 0.801
Pm 0.712 0.939 0.412
Pm 0.939 0.712 0.912
Er 0.196 0.804 0.247
Er 0.804 0.196 0.747

Main lines, in order of rising 2θ (10 to 90 degrees two-theta):
2θ (°), I (rel.)
28.61, 71
29.63, 19
31.63, 100
32.57, 19
33.95, 44
34.13, 25
50.01, 29
58.38, 21

=====

Ho3In7Rh4: computed powder XRD pattern (a wavelength of 1.5418 Å), based on a crystal structure in Alexandria, relaxed with GGA-PBE.

Crystal structure
a b c (Å): 8.364 8.364 10.044
angles (deg): 120.32 120.32 30.49
Positions (direct):
Ho 0.000 0.000 0.000
Ho 0.304 0.304 0.290
Ho 0.696 0.696 0.710
In 0.000 0.000 0.500
In 0.164 0.164 0.429
In 0.318 0.318 0.978
In 0.493 0.493 0.717
In 0.507 0.507 0.283
In 0.682 0.682 0.022
In 0.836 0.836 0.571
Rh 0.115 0.115 0.825
Rh 0.329 0.329 0.725
Rh 0.671 0.671 0.275
Rh 0.885 0.885 0.175

Main lines, in order of rising 2θ (10 to 90 degrees two-theta):
2θ (°), I (rel.)
32.20, 91
33.48, 41
33.79, 50
34.69, 100
35.12, 31
38.60, 27
39.30, 40
41.04, 89

=====

TcTe: computed powder XRD pattern (a wavelength of 1.5418 Å), based on a crystal structure in Alexandria, relaxed with GGA-PBE.

Crystal structure
a b c (Å): 3.166 3.166 8.742
angles (deg): 90.00 90.00 90.00
Positions (direct):
Tc 0.250 0.250 0.104
Tc 0.750 0.750 0.896
Te 0.250 0.250 0.718
Te 0.750 0.750 0.282

Main lines, in order of rising 2θ (10 to 90 degrees two-theta):
2θ (°), I (rel.)
10.12, 67
20.32, 34
35.00, 94
40.29, 75
42.15, 100
58.29, 25
68.04, 26
74.51, 36

=====

- Number 5 is which compound?
  TcTe